Simulated powder diffractogram
Compound: LiPb3F6
Radiation: Cu Kα, 1.54184 Å
Structure: a GGA-PBE-relaxed structure
Intensities are scaled so that the largest is 100.

Peak list (10 most intense, 2θ = 10–80°, by angle)
(1 1 1), 2θ = 19.44°, I = 53
(3 1 0), 2θ = 25.83°, I = 45
(2 2 1), 2θ = 27.37°, I = 100
(1 3 1), 2θ = 28.59°, I = 46
(0 4 0), 2θ = 29.53°, I = 21
(3 1 2), 2θ = 41.82°, I = 39
(0 4 2), 2θ = 44.33°, I = 22
(3 5 0), 2θ = 45.15°, I = 25
(6 0 0), 2θ = 50.72°, I = 37
(3 5 2), 2θ = 56.59°, I = 22

Crystal structure
```
data_LiPb3F6
_cell_length_a 10.7942
_cell_length_b 12.1014
_cell_length_c 5.5415
_cell_angle_alpha 90.00
_cell_angle_beta 90.00
_cell_angle_gamma 90.00
_space_group_name_H-M_alt 'C m c 21'
_space_group_IT_number 36
loop_
_space_group_symop_operation_xyz
'x,y,z'
'-x,-y,z+1/2'
'-x,y,z'
'x,-y,z+1/2'
'x+1/2,y+1/2,z'
'-x+1/2,-y+1/2,z+1/2'
'-x+1/2,y+1/2,z'
'x+1/2,-y+1/2,z+1/2'
loop_
_atom_site_label
_atom_site_type_symbol
_atom_site_fract_x
_atom_site_fract_y
_atom_site_fract_z
_atom_site_occupancy
Li1 Li 0.0000 0.1957 0.0000 1
Pb1 Pb 0.0000 0.3882 0.5887 1
Pb2 Pb 0.1829 0.1017 0.5374 1
F1 F 0.0000 0.0603 0.8178 1
F2 F 0.0000 0.2079 0.3426 1
F3 F 0.1376 0.4637 0.2808 1
F4 F 0.1441 0.2616 0.8397 1
```



Simulated powder diffractogram
Compound: TmBe9Nb2
Radiation: Cu Kα, 1.54184 Å
Structure: a GGA-PBE-relaxed structure
Intensities are scaled so that the largest is 100.

Peak list (10 most intense, 2θ = 10–80°, by angle)
(1 0 0), 2θ = 21.98°, I = 54
(1 0 1), 2θ = 22.83°, I = 100
(0 0 4), 2θ = 24.55°, I = 38
(1 0 4), 2θ = 33.18°, I = 29
(1 0 5), 2θ = 38.18°, I = 83
(1 1 0), 2θ = 38.56°, I = 62
(2 0 1), 2θ = 45.28°, I = 23
(1 1 4), 2θ = 46.24°, I = 58
(2 0 5), 2θ = 55.38°, I = 23
(2 1 5), 2θ = 69.51°, I = 28

Crystal structure
```
data_TmBe9Nb2
_cell_length_a 4.6700
_cell_length_b 4.6700
_cell_length_c 14.5039
_cell_angle_alpha 90.00
_cell_angle_beta 90.00
_cell_angle_gamma 120.00
_space_group_name_H-M_alt 'P 63/m m c'
_space_group_IT_number 194
_space_group_name_Hall '-P 6c 2c'
loop_
_atom_site_label
_atom_site_type_symbol
_atom_site_fract_x
_atom_site_fract_y
_atom_site_fract_z
_atom_site_occupancy
Tm1 Tm 0.3333 0.6667 0.2500 1
Be1 Be 0.0000 0.0000 0.0000 1
Be2 Be 0.0000 0.0000 0.2500 1
Be3 Be 0.1696 0.3393 0.6240 1
Be4 Be 0.3333 0.6667 0.7500 1
Nb1 Nb 0.3333 0.6667 0.0343 1
```



Simulated powder diffractogram
Compound: TlHgOF2
Radiation: Cu Kα, 1.54184 Å
Structure: a GGA-PBE-relaxed structure
Intensities are scaled so that the largest is 100.

Peak list (10 most intense, 2θ = 10–80°, by angle)
(1 1 0), 2θ = 27.79°, I = 53
(1 0 1), 2θ = 28.82°, I = 100
(2 0 0), 2θ = 39.71°, I = 30
(0 0 2), 2θ = 42.68°, I = 12
(2 1 1), 2θ = 49.81°, I = 46
(1 1 2), 2θ = 51.70°, I = 20
(2 0 2), 2θ = 59.71°, I = 18
(3 1 0), 2θ = 64.97°, I = 10
(3 0 1), 2θ = 65.50°, I = 10
(3 2 1), 2θ = 79.40°, I = 12

Crystal structure
```
data_TlHgOF2
_cell_length_a 4.5393
_cell_length_b 4.5393
_cell_length_c 4.2370
_cell_angle_alpha 90.00
_cell_angle_beta 90.00
_cell_angle_gamma 90.00
_space_group_name_H-M_alt 'P 4/m m m'
_space_group_IT_number 123
_space_group_name_Hall '-P 4 2'
loop_
_atom_site_label
_atom_site_type_symbol
_atom_site_fract_x
_atom_site_fract_y
_atom_site_fract_z
_atom_site_occupancy
Tl1 Tl 0.0000 0.0000 0.0000 1
Hg1 Hg 0.5000 0.5000 0.5000 1
O1 O 0.0000 0.0000 0.5000 1
F1 F 0.0000 0.5000 0.0000 1
```



Simulated powder diffractogram
Compound: RbAg2I2Br
Radiation: Cu Kα, 1.54184 Å
Structure: a GGA-PBE-relaxed structure
Intensities are scaled so that the largest is 100.

Peak list (10 most intense, 2θ = 10–80°, by angle)
(0 0 1), 2θ = 10.08°, I = 45
(1 0 1), 2θ = 16.15°, I = 29
(2 0 0), 2θ = 20.24°, I = 30
(2 1 -1), 2θ = 25.06°, I = 46
(0 1 2), 2θ = 25.30°, I = 100
(3 0 0), 2θ = 30.56°, I = 51
(1 2 -1), 2θ = 32.76°, I = 31
(2 2 -2), 2θ = 39.27°, I = 35
(2 2 1), 2θ = 39.75°, I = 53
(3 2 -1), 2θ = 42.72°, I = 35

Crystal structure
```
data_RbAg2I2Br
_cell_length_a 9.1389
_cell_length_b 5.8953
_cell_length_c 9.1409
_cell_angle_alpha 90.00
_cell_angle_beta 106.22
_cell_angle_gamma 90.00
_space_group_name_H-M_alt 'P 1 21/m 1'
_space_group_IT_number 11
loop_
_space_group_symop_operation_xyz
'x,y,z'
'-x,-y,-z'
'-x,y+1/2,-z'
'x,-y+1/2,z'
loop_
_atom_site_label
_atom_site_type_symbol
_atom_site_fract_x
_atom_site_fract_y
_atom_site_fract_z
_atom_site_occupancy
Rb1 Rb 0.2343 0.2500 0.2664 1
Ag1 Ag 0.3152 0.9999 0.8158 1
I1 I 0.0621 0.2500 0.8408 1
I2 I 0.3402 0.7500 0.5625 1
Br1 Br 0.4001 0.7500 0.1005 1
```



Simulated powder diffractogram
Compound: Li6HgPt
Radiation: Cu Kα, 1.54184 Å
Structure: a GGA-PBE-relaxed structure
Intensities are scaled so that the largest is 100.

Peak list (10 most intense, 2θ = 10–80°, by angle)
(1 0 0), 2θ = 18.04°, I = 43
(1 0 1), 2θ = 26.73°, I = 100
(1 1 0), 2θ = 31.51°, I = 44
(2 0 0), 2θ = 36.55°, I = 9
(0 0 2), 2θ = 39.72°, I = 10
(2 0 1), 2θ = 41.78°, I = 38
(1 0 2), 2θ = 43.94°, I = 9
(1 1 2), 2θ = 51.56°, I = 23
(2 1 1), 2θ = 53.26°, I = 32
(3 1 1), 2θ = 72.35°, I = 13

Crystal structure
```
data_Li6HgPt
_cell_length_a 5.6778
_cell_length_b 5.6778
_cell_length_c 4.5388
_cell_angle_alpha 90.00
_cell_angle_beta 90.00
_cell_angle_gamma 120.00
_space_group_name_H-M_alt 'P -6 m 2'
_space_group_IT_number 187
_space_group_name_Hall 'P -6 2'
loop_
_atom_site_label
_atom_site_type_symbol
_atom_site_fract_x
_atom_site_fract_y
_atom_site_fract_z
_atom_site_occupancy
Li1 Li 0.0025 0.5013 0.0000 1
Li2 Li 0.3067 0.1533 0.5000 1
Hg1 Hg 0.3333 0.6667 0.5000 1
Pt1 Pt 0.0000 0.0000 0.0000 1
```



Simulated powder diffractogram
Compound: Rb2YSnSe4
Radiation: Cu Kα, 1.54184 Å
Structure: a GGA-PBE-relaxed structure
Intensities are scaled so that the largest is 100.

Peak list (10 most intense, 2θ = 10–80°, by angle)
(0 0 1), 2θ = 11.06°, I = 14
(1 1 1), 2θ = 28.42°, I = 100
(2 0 -3), 2θ = 35.77°, I = 9
(2 0 2), 2θ = 38.42°, I = 11
(1 1 -3), 2θ = 38.84°, I = 21
(3 1 -1), 2θ = 42.32°, I = 25
(0 2 0), 2θ = 42.80°, I = 12
(4 0 0), 2θ = 51.40°, I = 6
(2 2 -2), 2θ = 52.15°, I = 12
(4 2 0), 2θ = 69.00°, I = 10

Crystal structure
```
data_Rb2YSnSe4
_cell_length_a 7.4251
_cell_length_b 4.2255
_cell_length_c 8.3541
_cell_angle_alpha 90.00
_cell_angle_beta 106.75
_cell_angle_gamma 90.00
_space_group_name_H-M_alt 'P 1 2/m 1'
_space_group_IT_number 10
loop_
_space_group_symop_operation_xyz
'x,y,z'
'-x,-y,-z'
'-x,y,-z'
'x,-y,z'
loop_
_atom_site_label
_atom_site_type_symbol
_atom_site_fract_x
_atom_site_fract_y
_atom_site_fract_z
_atom_site_occupancy
Rb1 Rb 0.0000 0.0000 0.0000 1
Rb2 Rb 0.5000 0.5000 0.0000 1
Y1 Y 0.0000 0.5000 0.5000 1
Sn1 Sn 0.5000 0.0000 0.5000 1
Se1 Se 0.2307 0.0000 0.6946 1
Se2 Se 0.2661 0.5000 0.3056 1
```